Simulated powder diffractogram of LaAl2S4 for Cu Kα, from a cell relaxed with GGA-PBE.
Kinematic intensities with the Lorentz-polarization factor, no thermal factor.

Main lines, most intense first (2θ = 10–90°):
16.95°, 5.232 Å, intensity 100, hkl 1 1 0; 38.69°, 2.327 Å, intensity 85, hkl 2 2 2; 24.38°, 3.651 Å, intensity 79, hkl 1 1 2; 34.88°, 2.572 Å, intensity 48, hkl 0 4 0; 39.31°, 2.292 Å, intensity 38, hkl 0 4 2; 24.60°, 3.618 Å, intensity 31, hkl 0 2 2; 29.95°, 2.984 Å, intensity 29, hkl 1 3 0; 34.31°, 2.613 Å, intensity 24, hkl 2 2 0; 31.23°, 2.864 Å, intensity 23, hkl 1 3 1; 31.39°, 2.850 Å, intensity 23, hkl 1 1 3; 59.46°, 1.555 Å, intensity 22, hkl 2 4 4; 35.21°, 2.549 Å, intensity 22, hkl 0 0 4

Atomic structure:
```
data_LaAl2S4
_cell_length_a 6.0793
_cell_length_b 10.2745
_cell_length_c 10.1947
_cell_angle_alpha 90.00
_cell_angle_beta 90.00
_cell_angle_gamma 90.00
_space_group_name_H-M_alt 'C c c m'
_space_group_IT_number 66
_space_group_name_Hall '-C 2 2c'
loop_
_atom_site_label
_atom_site_fract_x
_atom_site_fract_y
_atom_site_fract_z
La1 0.0000 0.0000 0.2500
Al1 0.0016 0.2619 0.0000
S1 0.2332 0.0836 0.5000
S2 0.2500 0.2500 0.1689
```